[1]
Starting from a crystal structure in Alexandria, relaxed with PBE, the X-ray powder pattern of Pr3Tl2Ag2 was simulated for a wavelength of 1.5418 Å.
No peak broadening, texture or thermal motion is included.

Structural model:
Cell lengths 4.703, 22.970, 3.569 Å; angles 90.00, 90.00, 90.00 degrees
Space group Cmmm (No. 65)
Unique sites:
Pr 0.000 0.000 0.000
Pr 0.000 0.161 0.000
Tl 0.000 0.420 0.500
Ag 0.000 0.284 0.500

Largest 8 diffraction maxima, low angle first, 5° ≤ 2θ ≤ 70°:
2θ (°), d (Å), I/Imax
27.14, 3.286, 21
31.71, 2.822, 100
33.29, 2.691, 81
34.35, 2.611, 66
38.28, 2.351, 35
52.37, 1.747, 40
61.82, 1.501, 23
62.44, 1.487, 26



[2]
Starting from a crystal structure in Alexandria, relaxed with PBE, the X-ray powder pattern of In2SnCl was simulated for a wavelength of 1.5418 Å.
No peak broadening, texture or thermal motion is included.

Structural model:
Cell lengths 3.3660, 3.3660, 33.6433 Å; angles 90.00, 90.00, 120.00 degrees
Space group R-3m (No. 166, hexagonal axes)
Unique sites:
In 0.0000 0.0000 0.0968
Sn 0.0000 0.0000 0.0000
Cl 0.0000 0.0000 0.5000

Largest 8 diffraction maxima, low angle first, 5° ≤ 2θ ≤ 70°:
2θ (°), d (Å), I/Imax
23.80, 3.738, 50
30.79, 2.904, 100
31.14, 2.872, 72
31.92, 2.804, 31
40.97, 2.203, 89
42.86, 2.110, 48
54.52, 1.683, 39
63.91, 1.457, 34



[3]
Starting from a crystal structure in Alexandria, relaxed with PBE, the X-ray powder pattern of Rb4Ca3Cl10 was simulated for a wavelength of 1.5418 Å.
No peak broadening, texture or thermal motion is included.

Structural model:
Cell lengths 5.421, 5.421, 38.179 Å; angles 90.00, 90.00, 90.00 degrees
Space group I4/mmm (No. 139)
Unique sites:
Rb 0.000 0.000 0.069
Rb 0.000 0.000 0.202
Ca 0.000 0.000 0.357
Ca 0.000 0.000 0.500
Cl 0.000 0.000 0.287
Cl 0.000 0.000 0.429
Cl 0.000 0.500 0.000
Cl 0.000 0.500 0.140

Largest 8 diffraction maxima, low angle first, 5° ≤ 2θ ≤ 70°:
2θ (°), d (Å), I/Imax
23.17, 3.839, 100
27.16, 3.284, 24
29.90, 2.989, 66
32.84, 2.727, 32
33.05, 2.710, 87
40.73, 2.215, 24
47.28, 1.922, 42
47.43, 1.917, 27



[4]
Starting from a crystal structure in Alexandria, relaxed with PBE, the X-ray powder pattern of Zn2AgSnS4 was simulated for a wavelength of 1.5418 Å.
No peak broadening, texture or thermal motion is included.

Structural model:
Cell lengths 7.983, 7.983, 11.744 Å; angles 90.00, 90.00, 90.00 degrees
Space group Fmm2 (No. 42)
Unique sites:
Zn 0.250 0.250 0.000
Ag 0.000 0.000 0.250
Sn 0.000 0.000 0.750
S 0.000 0.245 0.111
S 0.245 0.000 0.389

Largest 8 diffraction maxima, low angle first, 5° ≤ 2θ ≤ 70°:
2θ (°), d (Å), I/Imax
27.01, 3.301, 100
30.45, 2.936, 7
31.70, 2.822, 12
44.53, 2.035, 39
45.45, 1.996, 19
52.04, 1.757, 15
53.66, 1.708, 28
66.22, 1.411, 6



[5]
Starting from a crystal structure in Alexandria, relaxed with PBE, the X-ray powder pattern of MnGa6Br12 was simulated for a wavelength of 1.5418 Å.
No peak broadening, texture or thermal motion is included.

Structural model:
Cell lengths 7.557, 8.708, 11.127 Å; angles 97.35, 97.31, 101.69 degrees
Space group P-1 (No. 2)
Unique sites:
Mn 0.000 0.000 0.000
Ga 0.134 0.482 0.132
Ga 0.253 0.296 0.705
Ga 0.365 0.885 0.816
Br 0.027 0.639 0.363
Br 0.059 0.186 0.214
Br 0.257 0.241 0.915
Br 0.276 0.871 0.066
Br 0.308 0.079 0.583
Br 0.495 0.525 0.721

Largest 8 diffraction maxima, low angle first, 5° ≤ 2θ ≤ 70°:
2θ (°), d (Å), I/Imax
8.11, 10.897, 67
17.94, 4.945, 54
25.12, 3.546, 41
26.33, 3.385, 100
26.93, 3.310, 37
28.26, 3.158, 70
34.18, 2.623, 38
35.72, 2.513, 32



[6]
Starting from a crystal structure in Alexandria, relaxed with PBE, the X-ray powder pattern of Rb2InAuO4 was simulated for a wavelength of 1.5418 Å.
No peak broadening, texture or thermal motion is included.

Structural model:
Cell lengths 6.198, 14.233, 21.332 Å; angles 90.00, 90.00, 90.00 degrees
Space group Fddd (No. 70, origin choice 2)
Unique sites:
Rb 0.125 0.125 0.305
In 0.125 0.125 0.125
Au 0.125 0.125 0.625
O 0.117 0.279 0.874

Largest 8 diffraction maxima, low angle first, 5° ≤ 2θ ≤ 70°:
2θ (°), d (Å), I/Imax
14.97, 5.920, 93
16.62, 5.333, 91
20.00, 4.439, 59
25.03, 3.558, 52
28.06, 3.180, 100
31.49, 2.841, 66
46.50, 1.953, 54
51.41, 1.777, 35



[7]
Starting from a crystal structure in Alexandria, relaxed with PBE, the X-ray powder pattern of YZr2Se was simulated for a wavelength of 1.5418 Å.
No peak broadening, texture or thermal motion is included.

Structural model:
Cell lengths 3.518, 4.433, 12.391 Å; angles 90.00, 90.00, 90.00 degrees
Space group Amm2 (No. 38)
Unique sites:
Y 0.000 0.000 0.000
Zr 0.000 0.000 0.727
Zr 0.500 0.000 0.324
Se 0.500 0.000 0.547

Largest 8 diffraction maxima, low angle first, 5° ≤ 2θ ≤ 70°:
2θ (°), d (Å), I/Imax
28.82, 3.098, 26
29.56, 3.022, 33
33.31, 2.690, 100
38.73, 2.325, 39
39.31, 2.292, 35
40.71, 2.216, 29
41.76, 2.163, 20
57.45, 1.604, 24



[8]
Starting from a crystal structure in Alexandria, relaxed with PBE, the X-ray powder pattern of K4Na5Li was simulated for a wavelength of 1.5418 Å.
No peak broadening, texture or thermal motion is included.

Structural model:
Cell lengths 12.097, 12.097, 6.773 Å; angles 90.00, 90.00, 90.00 degrees
Space group I4mm (No. 107)
Unique sites:
K 0.000 0.300 0.000
Na 0.000 0.000 0.228
Na 0.171 0.171 0.516
Li 0.000 0.000 0.740

Largest 8 diffraction maxima, low angle first, 5° ≤ 2θ ≤ 70°:
2θ (°), d (Å), I/Imax
21.02, 4.227, 24
25.71, 3.465, 100
26.32, 3.387, 20
31.37, 2.851, 31
33.76, 2.655, 13
41.40, 2.181, 16
46.07, 1.970, 16
52.51, 1.743, 14



[9]
Starting from a crystal structure in Alexandria, relaxed with PBE, the X-ray powder pattern of Be3Sb was simulated for a wavelength of 1.5418 Å.
No peak broadening, texture or thermal motion is included.

Structural model:
Cell lengths 3.553, 3.728, 4.201 Å; angles 90.00, 90.00, 90.00 degrees
Space group Pmmm (No. 47)
Unique sites:
Be 0.000 0.000 0.000
Be 0.000 0.500 0.247
Sb 0.500 0.000 0.500

Largest 8 diffraction maxima, low angle first, 5° ≤ 2θ ≤ 70°:
2θ (°), d (Å), I/Imax
21.15, 4.201, 100
23.87, 3.728, 75
25.06, 3.553, 52
32.10, 2.788, 72
33.02, 2.713, 82
34.88, 2.572, 70
41.15, 2.194, 88
49.83, 1.830, 30



[10]
Starting from a crystal structure in Alexandria, relaxed with PBE, the X-ray powder pattern of ThCu2Au10 was simulated for a wavelength of 1.5418 Å.
No peak broadening, texture or thermal motion is included.

Structural model:
Cell lengths 5.473, 13.048, 13.636 Å; angles 90.00, 90.00, 90.00 degrees
Space group Fmmm (No. 69)
Unique sites:
Th 0.000 0.000 0.000
Cu 0.250 0.250 0.000
Au 0.000 0.111 0.398
Au 0.000 0.177 0.161
Au 0.250 0.000 0.250

Largest 8 diffraction maxima, low angle first, 5° ≤ 2θ ≤ 70°:
2θ (°), d (Å), I/Imax
32.73, 2.736, 49
32.87, 2.725, 89
37.49, 2.399, 77
38.02, 2.366, 83
38.19, 2.357, 92
38.80, 2.321, 100
42.36, 2.134, 65
68.91, 1.363, 46



[11]
Starting from a crystal structure in Alexandria, relaxed with PBE, the X-ray powder pattern of Nb2Rh2S was simulated for a wavelength of 1.5418 Å.
No peak broadening, texture or thermal motion is included.

Structural model:
Cell lengths 4.356, 4.356, 4.564 Å; angles 90.00, 90.00, 90.00 degrees
Space group P4/mmm (No. 123)
Unique sites:
Nb 0.000 0.000 0.000
Nb 0.500 0.500 0.000
Rh 0.000 0.500 0.500
S 0.000 0.000 0.500

Largest 8 diffraction maxima, low angle first, 5° ≤ 2θ ≤ 70°:
2θ (°), d (Å), I/Imax
19.45, 4.564, 3
20.39, 4.356, 2
35.15, 2.553, 100
39.49, 2.282, 25
41.46, 2.178, 43
58.59, 1.576, 30
60.08, 1.540, 14
68.83, 1.364, 14



[12]
Starting from a crystal structure in Alexandria, relaxed with PBE, the X-ray powder pattern of Pm2Y2HoEr was simulated for a wavelength of 1.5418 Å.
No peak broadening, texture or thermal motion is included.

Structural model:
Cell lengths 7.054, 5.652, 9.758 Å; angles 90.00, 90.00, 90.00 degrees
Space group Pmma (No. 51)
Unique sites:
Pm 0.250 0.000 0.150
Pm 0.250 0.500 0.682
Y 0.000 0.000 0.500
Y 0.250 0.500 0.343
Ho 0.250 0.000 0.820
Er 0.000 0.500 0.000

Largest 8 diffraction maxima, low angle first, 5° ≤ 2θ ≤ 70°:
2θ (°), d (Å), I/Imax
9.06, 9.758, 12
31.28, 2.860, 92
31.71, 2.821, 100
40.96, 2.203, 12
45.14, 2.009, 33
56.19, 1.637, 22
56.45, 1.630, 13
62.06, 1.495, 29